Simulated powder diffraction line list of Rb8Mn3O8 for copper Kα, from DFT lattice parameters and positions (PBE+U).
Peak positions follow from Bragg's law for the DFT cell and can differ from measured ones.

Atomic structure:
abc: 10.7949 10.7949 9.0018
angles: 110.22 110.22 30.34
Positions (direct):
Rb: 0.0305 0.0305 0.2333
Rb: 0.1956 0.1956 0.8046
Rb: 0.3304 0.3304 0.5506
Rb: 0.3950 0.3950 0.0631
Rb: 0.6050 0.6050 0.9369
Rb: 0.6696 0.6696 0.4494
Rb: 0.8044 0.8044 0.1954
Rb: 0.9695 0.9695 0.7667
Mn: 0.1894 0.1894 0.1884
Mn: 0.5000 0.5000 0.5000
Mn: 0.8106 0.8106 0.8116
O: 0.1158 0.1158 0.0163
O: 0.1806 0.1806 0.3719
O: 0.2709 0.2709 0.1756
O: 0.4807 0.4807 0.6852
O: 0.5193 0.5193 0.3148
O: 0.7291 0.7291 0.8244
O: 0.8194 0.8194 0.6281
O: 0.8842 0.8842 0.9837

Main lines, low angle first (5 to 70 degrees two-theta):
two_theta	I (rel.)
25.52	46.0
26.05	34.6
26.69	85.5
27.84	32.7
28.13	85.8
29.66	29.9
30.59	35.7
31.67	100.0
32.76	27.8
44.63	34.4